The following is a theoretical powder diffractogram of Mg4Ir2Au. It was derived from the PBE geometry in Alexandria, using Cu Kα X-rays.
Neutral-atom scattering factors, no anomalous dispersion.

Most intense lines, 10 to 90 degrees two-theta, low angle first:
Position (°2θ)	Rel. int.
20.0	50
28.1	64
28.7	30
40.1	52
40.6	100
73.2	35

```
data_Mg4Ir2Au
_chemical_formula_sum 'Mg4 Ir2 Au1'
_cell_length_a 5.4676
_cell_length_b 5.4676
_cell_length_c 5.4676
_cell_angle_alpha 108.91
_cell_angle_beta 108.91
_cell_angle_gamma 110.61
_symmetry_space_group_name_H-M 'P 1'
_symmetry_Int_Tables_number 1
_symmetry_space_group_name_Hall 'P 1'
loop_
_atom_site_label
_atom_site_fract_x
_atom_site_fract_y
_atom_site_fract_z
_atom_site_occupancy
Mg1 0.0000 0.0000 0.5000 1
Mg2 0.0000 0.5000 0.0000 1
Mg3 0.5000 0.0000 0.0000 1
Mg4 0.5000 0.5000 0.5000 1
Ir1 0.0000 0.5000 0.5000 1
Ir2 0.5000 0.0000 0.5000 1
Au1 0.0000 0.0000 0.0000 1
```